(1)
This entry pairs a crystal structure of CeInAu with its simulated powder diffractogram. Radiation: Cu Ka. Structure: a DFT-relaxed cell (GGA-PBE, the Materials Project).
Lines closer than 0.1° are merged.

Top 10 peaks for 15 to 90 degrees two-theta, sorted by position:
2θ/deg  I_rel
23.0  20
31.1  66
33.9  100
35.4  30
40.4  39
41.3  43
41.9  28
56.0  16
59.6  25
64.3  30

Atomic structure:
Cell lengths 7.7397, 7.7397, 4.3098 Å; angles 90.00, 90.00, 120.00 degrees
Atoms (fractional coordinates):
Ce 0.0000 0.5874 0.0000
Ce 0.4126 0.4126 0.0000
Ce 0.5874 0.0000 0.0000
In 0.0000 0.2494 0.5000
In 0.2494 0.0000 0.5000
In 0.7506 0.7506 0.5000
Au 0.0000 0.0000 0.0000
Au 0.3333 0.6667 0.5000
Au 0.6667 0.3333 0.5000

=====

(2)
This entry pairs a crystal structure of Ce3Mg2InAu3 with its simulated powder diffractogram. Radiation: Cu Ka. Structure: a DFT-relaxed cell (GGA-PBE, the Materials Project).
Lines closer than 0.1° are merged.

Top 10 peaks for 15 to 90 degrees two-theta, sorted by position:
2θ/deg  I_rel
23.1  35
24.8  33
31.3  61
34.0  100
34.2  26
40.3  29
41.6  20
42.5  30
60.0  18
64.9  20

Atomic structure:
Cell lengths 4.2571, 7.7016, 7.7016 Å; angles 119.27, 90.00, 90.00 degrees
Atoms (fractional coordinates):
Ce 0.0000 0.0000 0.0000
Ce 0.0000 0.4159 0.8297
Ce 0.0000 0.8297 0.4159
Mg 0.5000 0.1733 0.4169
Mg 0.5000 0.4169 0.1733
In 0.5000 0.6640 0.6640
Au 0.0000 0.4057 0.4057
Au 0.5000 0.0903 0.7522
Au 0.5000 0.7522 0.0903

=====

(3)
This entry pairs a crystal structure of Ce3YIn4Au8 with its simulated powder diffractogram. Radiation: Cu Ka. Structure: a DFT-relaxed cell (GGA-PBE, the Materials Project).
Lines closer than 0.1° are merged.

Top 10 peaks for 15 to 90 degrees two-theta, sorted by position:
2θ/deg  I_rel
25.1  12
35.3  100
36.3  91
51.6  33
63.4  18
64.1  35
66.0  15
74.7  11
86.0  16
87.8  14

Atomic structure:
Cell lengths 16.2059, 16.2059, 16.2059 Å; angles 18.05, 18.05, 18.05 degrees
Atoms (fractional coordinates):
Ce 0.0000 0.0000 0.0000
Ce 0.2497 0.2497 0.2497
Ce 0.7503 0.7503 0.7503
Y 0.5000 0.5000 0.5000
In 0.1249 0.1249 0.1249
In 0.3755 0.3755 0.3755
In 0.6245 0.6245 0.6245
In 0.8751 0.8751 0.8751
Au 0.0642 0.0642 0.0642
Au 0.1846 0.1846 0.1846
Au 0.3137 0.3137 0.3137
Au 0.4367 0.4367 0.4367
Au 0.5633 0.5633 0.5633
Au 0.6863 0.6863 0.6863
Au 0.8154 0.8154 0.8154
Au 0.9358 0.9358 0.9358

=====

(4)
This entry pairs a crystal structure of CeMgAu with its simulated powder diffractogram. Radiation: Cu Ka. Structure: a DFT-relaxed cell (GGA-PBE, the Materials Project).
Lines closer than 0.1° are merged.

Top 10 peaks for 15 to 90 degrees two-theta, sorted by position:
2θ/deg  I_rel
23.1  55
24.9  32
31.4  56
34.3  100
40.7  37
41.8  38
42.7  22
47.3  18
60.5  23
64.9  25

Atomic structure:
Cell lengths 7.6845, 7.6845, 4.2330 Å; angles 90.00, 90.00, 120.00 degrees
Atoms (fractional coordinates):
Ce 0.0000 0.5841 0.0000
Ce 0.4159 0.4159 0.0000
Ce 0.5841 0.0000 0.0000
Mg 0.0000 0.2418 0.5000
Mg 0.2418 0.0000 0.5000
Mg 0.7582 0.7582 0.5000
Au 0.0000 0.0000 0.0000
Au 0.3333 0.6667 0.5000
Au 0.6667 0.3333 0.5000

=====

(5)
This entry pairs a crystal structure of Ce2P2AuO with its simulated powder diffractogram. Radiation: Cu Ka. Structure: a DFT-relaxed cell (GGA-PBE, the Materials Project).
Lines closer than 0.1° are merged.

Top 10 peaks for 15 to 90 degrees two-theta, sorted by position:
2θ/deg  I_rel
17.9  30
27.9  100
28.2  56
29.0  80
31.2  34
31.7  50
36.1  29
36.7  32
38.1  90
43.3  52

Atomic structure:
Cell lengths 7.8384, 7.8384, 9.8916 Å; angles 128.95, 128.95, 30.95 degrees
Atoms (fractional coordinates):
Ce 0.1304 0.1304 0.3114
Ce 0.1714 0.1714 0.7302
Ce 0.8286 0.8286 0.2698
Ce 0.8696 0.8696 0.6886
P 0.1495 0.1495 0.0352
P 0.4500 0.4500 0.5458
P 0.5500 0.5500 0.4542
P 0.8505 0.8505 0.9648
Au 0.4129 0.4129 0.1251
Au 0.5871 0.5871 0.8749
O 0.2749 0.2749 0.6269
O 0.7251 0.7251 0.3731

=====

(6)
This entry pairs a crystal structure of CePbAu2 with its simulated powder diffractogram. Radiation: Cu Ka. Structure: a DFT-relaxed cell (GGA-PBE, the Materials Project).
Lines closer than 0.1° are merged.

Top 8 peaks for 15 to 90 degrees two-theta, sorted by position:
2θ/deg  I_rel
21.2  2
24.5  1
34.9  100
41.2  1
50.3  18
62.7  38
73.8  12
84.4  17

Atomic structure:
Cell lengths 5.1345, 5.1345, 5.1345 Å; angles 60.00, 60.00, 60.00 degrees
Atoms (fractional coordinates):
Ce 0.0000 0.0000 0.0000
Pb 0.5000 0.5000 0.5000
Au 0.2500 0.2500 0.2500
Au 0.7500 0.7500 0.7500

=====

(7)
This entry pairs a crystal structure of CePbAu with its simulated powder diffractogram. Radiation: Cu Ka. Structure: a DFT-relaxed cell (GGA-PBE, the Materials Project).
Lines closer than 0.1° are merged.

Top 10 peaks for 15 to 90 degrees two-theta, sorted by position:
2θ/deg  I_rel
23.8  20
31.8  100
36.3  89
43.9  25
48.7  13
49.0  30
62.3  38
62.5  29
65.4  16
85.6  16

Atomic structure:
Cell lengths 4.9460, 4.9460, 7.4759 Å; angles 90.00, 90.00, 120.00 degrees
Atoms (fractional coordinates):
Ce 0.0000 0.0000 0.0000
Ce 0.0000 0.0000 0.5000
Pb 0.3333 0.6667 0.2500
Pb 0.6667 0.3333 0.7500
Au 0.3333 0.6667 0.7500
Au 0.6667 0.3333 0.2500

=====

(8)
This entry pairs a crystal structure of CePt2Au3 with its simulated powder diffractogram. Radiation: Cu Ka. Structure: a DFT-relaxed cell (GGA-PBE, the Materials Project).
Lines closer than 0.1° are merged.

Top 10 peaks for 15 to 90 degrees two-theta, sorted by position:
2θ/deg  I_rel
32.7  52
38.2  94
38.5  100
38.7  94
40.1  68
40.4  63
61.8  25
62.0  23
62.7  23
68.5  71

Atomic structure:
Cell lengths 5.4762, 5.4762, 5.4762 Å; angles 119.93, 119.22, 90.74 degrees
Atoms (fractional coordinates):
Ce 0.0000 0.0000 0.0000
Pt 0.1190 0.3682 0.7508
Pt 0.6174 0.3682 0.2492
Au 0.2431 0.7431 0.5000
Au 0.6174 0.3686 0.7511
Au 0.6174 0.8663 0.2489